This entry pairs a crystal structure of Ca14MgTl with its simulated X-ray powder pattern. Radiation: CuKα. Structure: a DFT-relaxed cell (GGA-PBE, Alexandria).
No peak broadening, texture or thermal motion is included.

Peak list (10 most intense, 15° ≤ 2θ ≤ 90°, by angle)
Position (°2θ)	d (Å)	I (rel.)
18.21	4.873	9
21.70	4.096	9
26.56	3.356	11
29.11	3.068	100
31.56	2.835	42
37.79	2.380	15
45.23	2.005	14
50.02	1.824	20
54.69	1.678	30
60.35	1.534	10

Cell and atoms:
```
data_Ca14MgTl
_chemical_formula_sum 'Ca28 Mg2 Tl2'
_symmetry_space_group_name_H-M 'A m m 2'
_symmetry_Int_Tables_number 38
_cell_length_a 9.527
_cell_length_b 11.339
_cell_length_c 11.343
_cell_angle_alpha 90.00
_cell_angle_beta 90.00
_cell_angle_gamma 90.00
loop_
_symmetry_equiv_pos_as_xyz
'x,y,z'
'-x,-y,z'
'-x,y,z'
'x,-y,z'
'x,y+1/2,z+1/2'
'-x,-y+1/2,z+1/2'
'-x,y+1/2,z+1/2'
'x,-y+1/2,z+1/2'
loop_
_atom_site_label
_atom_site_fract_x
_atom_site_fract_y
_atom_site_fract_z
_atom_site_occupancy
Ca1 0.000 0.000 0.000 1
Ca2 0.000 0.000 0.495 1
Ca3 0.000 0.248 0.247 1
Ca4 0.268 0.000 0.745 1
Ca5 0.275 0.247 0.497 1
Ca6 0.282 0.000 0.251 1
Ca7 0.500 0.243 0.746 1
Mg1 0.500 0.000 0.995 1
Tl1 0.500 0.000 0.502 1
```